# Bi3PbWClO8
Calculated powder diffraction line list, Cu Ka. Input: DFT lattice parameters and positions (PBE+U).

Main lines, low angle first (10° ≤ 2θ ≤ 90°):
25.85 deg, I 35; 29.14 deg, I 100; 29.85 deg, I 18; 32.61 deg, I 49; 33.25 deg, I 16; 44.79 deg, I 28; 46.78 deg, I 26; 54.42 deg, I 30; 56.07 deg, I 33; 74.55 deg, I 17

Structure:
a = 3.8836 Å, b = 3.8836 Å, c = 14.9681 Å
α = 90.00°, β = 90.00°, γ = 90.00°
Sites, in units of the cell vectors:
Bi  0.0000  0.0000  0.0000
Bi  0.0000  0.0000  0.3967
Bi  0.5000  0.5000  0.5672
Pb  0.5000  0.5000  0.8308
W  0.5000  0.5000  0.2061
Cl  0.0000  0.0000  0.6734
O  0.0000  0.5000  0.2101
O  0.0000  0.5000  0.4869
O  0.0000  0.5000  0.9186
O  0.5000  0.0000  0.2101
O  0.5000  0.0000  0.4869
O  0.5000  0.0000  0.9186
O  0.5000  0.5000  0.0803
O  0.5000  0.5000  0.3389

# BiW2Cl8O2
Calculated powder diffraction line list, Cu Ka. Input: DFT lattice parameters and positions (PBE+U).

Main lines, low angle first (10° ≤ 2θ ≤ 90°):
10.18 deg, I 34; 13.42 deg, I 100; 23.33 deg, I 29; 24.96 deg, I 12; 25.80 deg, I 20; 31.06 deg, I 12; 31.63 deg, I 24; 33.52 deg, I 15; 35.56 deg, I 16; 39.59 deg, I 12

Structure:
a = 7.7588 Å, b = 8.7051 Å, c = 10.8918 Å
α = 92.20°, β = 100.40°, γ = 92.09°
Sites, in units of the cell vectors:
Bi  0.1317  0.1768  0.4271
Bi  0.8683  0.8232  0.5729
W  0.2180  0.6076  0.8509
W  0.2828  0.4004  0.1506
W  0.7172  0.5996  0.8494
W  0.7820  0.3924  0.1491
Cl  0.0847  0.8773  0.3951
Cl  0.1503  0.5249  0.6363
Cl  0.2067  0.8716  0.8039
Cl  0.2298  0.3284  0.9221
Cl  0.2757  0.1291  0.2128
Cl  0.2834  0.6738  0.0826
Cl  0.3213  0.4768  0.3660
Cl  0.3961  0.1512  0.5863
Cl  0.6039  0.8488  0.4137
Cl  0.6787  0.5232  0.6340
Cl  0.7166  0.3262  0.9174
Cl  0.7243  0.8709  0.7872
Cl  0.7702  0.6716  0.0779
Cl  0.7933  0.1284  0.1961
Cl  0.8497  0.4751  0.3637
Cl  0.9153  0.1227  0.6049
O  0.0216  0.4027  0.1377
O  0.4602  0.6040  0.8527
O  0.5398  0.3960  0.1473
O  0.9784  0.5973  0.8623

# CoBi6P2O14F2
Calculated powder diffraction line list, Cu Ka. Input: DFT lattice parameters and positions (PBE+U).

Main lines, low angle first (10° ≤ 2θ ≤ 90°):
11.13 deg, I 64; 23.18 deg, I 29; 28.03 deg, I 100; 28.25 deg, I 98; 31.98 deg, I 56; 33.83 deg, I 35; 36.09 deg, I 19; 45.85 deg, I 28; 47.25 deg, I 35; 54.75 deg, I 17

Structure:
a = 8.8525 Å, b = 8.8525 Å, c = 16.9144 Å
α = 108.93°, β = 108.93°, γ = 36.85°
Sites, in units of the cell vectors:
Co  0.0000  0.0000  0.0000
Co  0.0000  0.0000  0.5000
Bi  0.1066  0.1135  0.8260
Bi  0.1135  0.1066  0.3260
Bi  0.1691  0.2307  0.1651
Bi  0.2307  0.1691  0.6651
Bi  0.4228  0.4549  0.8286
Bi  0.4549  0.4228  0.3286
Bi  0.5451  0.5772  0.6714
Bi  0.5772  0.5451  0.1714
Bi  0.7693  0.8309  0.3349
Bi  0.8309  0.7693  0.8349
Bi  0.8865  0.8934  0.6740
Bi  0.8934  0.8865  0.1740
P  0.3517  0.3649  0.9961
P  0.3649  0.3517  0.4961
P  0.6351  0.6483  0.5039
P  0.6483  0.6351  0.0039
O  0.0501  0.8302  0.8872
O  0.0693  0.5945  0.2439
O  0.0941  0.5679  0.7416
O  0.1698  0.9499  0.6128
O  0.1752  0.6266  0.4857
O  0.2032  0.3844  0.9125
O  0.2181  0.6154  0.0502
O  0.2196  0.7804  0.2500
O  0.2825  0.7175  0.7500
O  0.3734  0.8248  0.0143
O  0.3844  0.2032  0.4125
O  0.3846  0.7819  0.4498
O  0.4055  0.9307  0.2561
O  0.4321  0.9059  0.7584
O  0.5679  0.0941  0.2416
O  0.5945  0.0693  0.7439
O  0.6154  0.2181  0.5502
O  0.6156  0.7968  0.5875
O  0.6266  0.1752  0.9857
O  0.7175  0.2825  0.2500
O  0.7804  0.2196  0.7500
O  0.7819  0.3846  0.9498
O  0.7968  0.6156  0.0875
O  0.8248  0.3734  0.5143
O  0.8302  0.0501  0.3872
O  0.9059  0.4321  0.2584
O  0.9307  0.4055  0.7561
O  0.9499  0.1698  0.1128
F  0.2346  0.3673  0.5529
F  0.3673  0.2346  0.0529
F  0.6327  0.7654  0.9471
F  0.7654  0.6327  0.4471